Starting from a crystal structure in the Materials Project, relaxed with PBE, the powder XRD pattern of CdI2 was computed for Cu Kα, 1.54184 Å.
Kinematic intensities with the Lorentz-polarization factor, no thermal factor.

The 10 most intense peaks (15° ≤ 2θ ≤ 90°), sorted by position:
Position (°2θ)  d_spacing  intensity
26.61  3.350  100
28.71  3.109  14
31.23  2.864  15
34.08  2.631  26
41.57  2.172  50
43.43  2.083  13
44.06  2.055  26
50.04  1.823  18
66.60  1.404  22
67.03  1.396  14

Structural model:
Cell lengths 4.344, 4.344, 110.425 Å; angles 90.00, 90.00, 120.00 degrees
Fractional coordinates of all 45 atoms:
Cd 0.000 0.000 0.000
Cd 0.000 0.000 0.067
Cd 0.000 0.000 0.200
Cd 0.000 0.000 0.267
Cd 0.000 0.000 0.333
Cd 0.000 0.000 0.467
Cd 0.000 0.000 0.600
Cd 0.000 0.000 0.667
Cd 0.000 0.000 0.800
Cd 0.000 0.000 0.867
Cd 0.667 0.333 0.133
Cd 0.667 0.333 0.400
Cd 0.667 0.333 0.533
Cd 0.667 0.333 0.733
Cd 0.667 0.333 0.933
I 0.000 0.000 0.118
I 0.000 0.000 0.384
I 0.000 0.000 0.518
I 0.000 0.000 0.718
I 0.000 0.000 0.918
I 0.333 0.667 0.016
I 0.333 0.667 0.082
I 0.333 0.667 0.149
I 0.333 0.667 0.216
I 0.333 0.667 0.282
I 0.333 0.667 0.349
I 0.333 0.667 0.416
I 0.333 0.667 0.482
I 0.333 0.667 0.549
I 0.333 0.667 0.616
I 0.333 0.667 0.682
I 0.333 0.667 0.749
I 0.333 0.667 0.816
I 0.333 0.667 0.882
I 0.333 0.667 0.949
I 0.667 0.333 0.051
I 0.667 0.333 0.184
I 0.667 0.333 0.251
I 0.667 0.333 0.318
I 0.667 0.333 0.451
I 0.667 0.333 0.584
I 0.667 0.333 0.651
I 0.667 0.333 0.784
I 0.667 0.333 0.851
I 0.667 0.333 0.984